Computed powder X-ray diffraction pattern of Ba8AsP3Br3 for Cu Kα (λ = 1.5418 Å), from a GGA-PBE-relaxed structure.
Lines closer than 0.1° are merged.

Crystal structure
a = 9.6290 Å, b = 9.6290 Å, c = 9.6290 Å
α = 58.96°, β = 58.96°, γ = 58.96°
Sites, in units of the cell vectors:
Ba (0.2337, 0.7405, 0.7405)
Ba (0.2376, 0.2376, 0.2376)
Ba (0.2595, 0.2595, 0.7663)
Ba (0.2595, 0.7663, 0.2595)
Ba (0.7405, 0.2337, 0.7405)
Ba (0.7405, 0.7405, 0.2337)
Ba (0.7624, 0.7624, 0.7624)
Ba (0.7663, 0.2595, 0.2595)
As (0.5000, 0.5000, 0.5000)
P (0.0000, 0.0000, 0.5000)
P (0.0000, 0.5000, 0.0000)
P (0.5000, 0.0000, 0.0000)
Br (0.0000, 0.5000, 0.5000)
Br (0.5000, 0.0000, 0.5000)
Br (0.5000, 0.5000, 0.0000)

Principal peaks in the range 2θ from 5° to 70°, by angle:
Position (°2θ)  intensity
22.93  26
26.39  100
28.74  8
37.37  32
37.98  40
46.84  20
54.34  11
60.97  10
61.82  18
68.21  11


Computed powder X-ray diffraction pattern of LiAl2CdS4 for Cu Kα (λ = 1.5418 Å), from a GGA-PBE-relaxed structure.
Lines closer than 0.1° are merged.

Crystal structure
a = 6.9282 Å, b = 6.6653 Å, c = 5.6589 Å
α = 67.84°, β = 63.00°, γ = 49.15°
Sites, in units of the cell vectors:
Li (0.0000, 0.0000, 0.0000)
Al (0.2413, 0.2413, 0.2587)
Al (0.7413, 0.7413, 0.7587)
Cd (0.4983, 0.4983, 0.5017)
S (0.1137, 0.6268, 0.3732)
S (0.3870, 0.9074, 0.6130)
S (0.6268, 0.1137, 0.8863)
S (0.9074, 0.3870, 0.0926)

Principal peaks in the range 2θ from 5° to 70°, by angle:
Position (°2θ)  intensity
17.72  100
26.64  72
28.71  79
29.09  37
35.01  21
38.24  18
42.87  21
46.19  62
52.41  26
55.97  16


Computed powder X-ray diffraction pattern of K8H8Pt3 for Cu Kα (λ = 1.5418 Å), from a GGA-PBE-relaxed structure.
Lines closer than 0.1° are merged.

Crystal structure
a = 10.7159 Å, b = 10.7159 Å, c = 7.9063 Å
α = 110.07°, β = 110.07°, γ = 29.35°
Sites, in units of the cell vectors:
K (0.0218, 0.0218, 0.2746)
K (0.2164, 0.2164, 0.7938)
K (0.3368, 0.3368, 0.5559)
K (0.3914, 0.3914, 0.0727)
K (0.6086, 0.6086, 0.9273)
K (0.6632, 0.6632, 0.4441)
K (0.7836, 0.7836, 0.2062)
K (0.9782, 0.9782, 0.7254)
H (0.1253, 0.1253, 0.9617)
H (0.1899, 0.1899, 0.4083)
H (0.2595, 0.2595, 0.1798)
H (0.4787, 0.4787, 0.6851)
H (0.5213, 0.5213, 0.3149)
H (0.7405, 0.7405, 0.8202)
H (0.8101, 0.8101, 0.5917)
H (0.8747, 0.8747, 0.0383)
Pt (0.1742, 0.1742, 0.1834)
Pt (0.5000, 0.5000, 0.5000)
Pt (0.8258, 0.8258, 0.8166)

Principal peaks in the range 2θ from 5° to 70°, by angle:
Position (°2θ)  intensity
17.48  79
17.98  75
19.84  100
21.38  65
27.61  38
30.94  84
31.52  81
32.99  51
33.96  50
34.50  40


Computed powder X-ray diffraction pattern of Y3Tl2Pt for Cu Kα (λ = 1.5418 Å), from a GGA-PBE-relaxed structure.
Lines closer than 0.1° are merged.

Crystal structure
a = 13.3303 Å, b = 4.8463 Å, c = 9.6937 Å
α = 90.00°, β = 90.00°, γ = 90.00°
Sites, in units of the cell vectors:
Y (0.0723, 0.2500, 0.0878)
Y (0.1045, 0.7500, 0.5575)
Y (0.2315, 0.7500, 0.2490)
Y (0.2685, 0.2500, 0.7490)
Y (0.3955, 0.2500, 0.0575)
Y (0.4277, 0.7500, 0.5878)
Y (0.5723, 0.2500, 0.4122)
Y (0.6045, 0.7500, 0.9425)
Y (0.7315, 0.7500, 0.2510)
Y (0.7685, 0.2500, 0.7510)
Y (0.8955, 0.2500, 0.4425)
Y (0.9277, 0.7500, 0.9122)
Tl (0.0196, 0.2500, 0.7352)
Tl (0.1785, 0.7500, 0.9244)
Tl (0.3215, 0.2500, 0.4244)
Tl (0.4804, 0.7500, 0.2352)
Tl (0.5196, 0.2500, 0.7648)
Tl (0.6785, 0.7500, 0.5756)
Tl (0.8215, 0.2500, 0.0756)
Tl (0.9804, 0.7500, 0.2648)
Pt (0.1099, 0.2500, 0.3687)
Pt (0.3901, 0.7500, 0.8687)
Pt (0.6099, 0.2500, 0.1313)
Pt (0.8901, 0.7500, 0.6313)

Principal peaks in the range 2θ from 5° to 70°, by angle:
Position (°2θ)  intensity
19.49  22
21.56  25
32.61  55
33.33  100
33.93  68
37.10  47
38.82  20
42.98  20
54.78  15
64.49  15


Computed powder X-ray diffraction pattern of Na2PaBe2O6 for Cu Kα (λ = 1.5418 Å), from a GGA-PBE-relaxed structure.
Lines closer than 0.1° are merged.

Crystal structure
a = 5.4123 Å, b = 5.4123 Å, c = 6.0514 Å
α = 90.00°, β = 90.00°, γ = 120.00°
Sites, in units of the cell vectors:
Na (0.3333, 0.6667, 0.3572)
Na (0.6667, 0.3333, 0.6428)
Pa (0.0000, 0.0000, 0.0000)
Be (0.3333, 0.6667, 0.8159)
Be (0.6667, 0.3333, 0.1841)
O (0.0769, 0.7150, 0.7948)
O (0.2850, 0.3620, 0.7948)
O (0.3620, 0.0769, 0.2052)
O (0.6380, 0.9231, 0.7948)
O (0.7150, 0.6380, 0.2052)
O (0.9231, 0.2850, 0.2052)

Principal peaks in the range 2θ from 5° to 70°, by angle:
Position (°2θ)  intensity
14.64  49
18.93  57
24.02  100
33.10  23
35.31  39
36.37  25
41.31  26
49.17  28
53.93  24
60.56  22


Computed powder X-ray diffraction pattern of Na2Ge6Ir for Cu Kα (λ = 1.5418 Å), from a GGA-PBE-relaxed structure.
Lines closer than 0.1° are merged.

Crystal structure
a = 5.8348 Å, b = 5.8348 Å, c = 5.8889 Å
α = 90.00°, β = 90.00°, γ = 120.00°
Sites, in units of the cell vectors:
Na (0.3333, 0.6667, 0.3727)
Na (0.6667, 0.3333, 0.6273)
Ge (0.1714, 0.3429, 0.8222)
Ge (0.1714, 0.8286, 0.8222)
Ge (0.3429, 0.1714, 0.1778)
Ge (0.6571, 0.8286, 0.8222)
Ge (0.8286, 0.1714, 0.1778)
Ge (0.8286, 0.6571, 0.1778)
Ir (0.0000, 0.0000, 0.5000)

Principal peaks in the range 2θ from 5° to 70°, by angle:
Position (°2θ)  intensity
17.55  83
23.19  52
34.30  53
35.28  28
38.78  100
43.68  26
47.41  46
47.61  19
63.81  24
68.55  17